1.
Theoretical PXRD pattern
Compound: Pm2Sn7Pd12
Radiation: Cu Kα (λ = 1.5418 Å)
Structure: DFT lattice parameters and positions (PBE)
Neutral-atom scattering factors, no anomalous dispersion.

Cell and atoms:
```
data_Pm2Sn7Pd12
_chemical_formula_sum 'Pm2 Sn7 Pd12'
_cell_length_a 10.8751
_cell_length_b 10.8751
_cell_length_c 4.0568
_cell_angle_alpha 90.00
_cell_angle_beta 90.00
_cell_angle_gamma 120.00
_space_group_name_H-M_alt 'P -3'
_space_group_IT_number 147
loop_
_space_group_symop_operation_xyz
'x,y,z'
'-x,-y,-z'
'-y,x-y,z'
'y,-x+y,-z'
'-x+y,-x,z'
'x-y,x,-z'
loop_
_atom_site_label
_atom_site_type_symbol
_atom_site_fract_x
_atom_site_fract_y
_atom_site_fract_z
_atom_site_occupancy
Pm1 Pm 0.3333 0.6667 0.2402 1
Sn1 Sn 0.0000 0.0000 0.5000 1
Sn2 Sn 0.1163 0.7088 0.7412 1
Pd1 Pd 0.0633 0.4412 0.7547 1
Pd2 Pd 0.1144 0.2590 0.2378 1
```

Top 8 peaks for 2θ from 10° to 90°, low angle first:
| h k l | Position (°2θ) | intensity |
| --- | --- | --- |
| 2 1 1 | 33.49 | 100 |
| 3 0 1 | 36.18 | 13 |
| 4 -1 1 | 41.10 | 24 |
| 1 4 0 | 44.06 | 34 |
| 0 4 1 | 44.49 | 12 |
| 0 0 2 | 44.67 | 19 |
| 1 4 2 | 64.55 | 16 |
| 5 3 1 | 74.27 | 13 |

2.
Theoretical PXRD pattern
Compound: RbInP2Pt4
Radiation: Cu Kα (λ = 1.5418 Å)
Structure: DFT lattice parameters and positions (PBE)
Neutral-atom scattering factors, no anomalous dispersion.

Cell and atoms:
```
data_RbInP2Pt4
_chemical_formula_sum 'Rb1 In1 P2 Pt4'
_cell_length_a 4.004
_cell_length_b 4.004
_cell_length_c 10.806
_cell_angle_alpha 90.00
_cell_angle_beta 90.00
_cell_angle_gamma 90.00
_space_group_name_H-M_alt 'P 4/m m m'
_space_group_IT_number 123
_space_group_name_Hall '-P 4 2'
loop_
_atom_site_label
_atom_site_type_symbol
_atom_site_fract_x
_atom_site_fract_y
_atom_site_fract_z
_atom_site_occupancy
Rb1 Rb 0.000 0.000 0.000 1
In1 In 0.000 0.000 0.500 1
P1 P 0.500 0.500 0.199 1
Pt1 Pt 0.000 0.500 0.311 1
```

Top 8 peaks for 2θ from 10° to 90°, low angle first:
| h k l | Position (°2θ) | intensity |
| --- | --- | --- |
| 0 0 2 | 16.41 | 54 |
| 0 0 3 | 24.72 | 48 |
| 1 1 0 | 31.60 | 34 |
| 1 1 2 | 35.81 | 100 |
| 1 1 3 | 40.53 | 85 |
| 2 0 0 | 45.30 | 55 |
| 2 0 3 | 52.28 | 26 |
| 1 1 5 | 53.33 | 37 |